Simulated PXRD pattern of In2BiWO8 for λ = 1.5418 Å (Cu Kα), from the PBE+U geometry in Alexandria.
Intensities are scaled so that the largest is 100.

Cell lengths 6.8813, 7.0833, 6.7046 Å; angles 90.00, 90.00, 90.00 degrees
Space group Cmmm (No. 65)
Asymmetric unit:
In 0.0000 0.0000 0.2410
Bi 0.0000 0.5000 0.5000
W 0.0000 0.5000 0.0000
O 0.0000 0.3138 0.2158
O 0.1853 0.0000 0.5000
O 0.2133 0.0000 0.0000

Top 10 peaks for 15° ≤ 2θ ≤ 90°, in order of rising 2θ:
2θ (°)  d/Å  I (rel.)
17.97  4.936  15
25.14  3.542  59
25.90  3.441  54
32.28  2.773  100
36.41  2.468  30
49.01  1.859  40
49.86  1.829  37
61.17  1.515  10
62.93  1.477  22
67.55  1.387  12